Record 1
Starting from a structure optimized by DFT (GGA-PBE), the powder diffractogram of K3Eu was computed for Cu Kα, 1.54184 Å.

Main lines, by angle (10 to 80 degrees two-theta):
d = 5.880 Å, intensity 31.4
d = 5.092 Å, intensity 17.1
d = 3.601 Å, intensity 100.0
d = 3.071 Å, intensity 21.0
d = 2.546 Å, intensity 19.3
d = 2.336 Å, intensity 10.3
d = 2.079 Å, intensity 41.5
d = 1.800 Å, intensity 12.9
d = 1.610 Å, intensity 17.7
d = 1.361 Å, intensity 19.6

```
data_K3Eu
_chemical_formula_sum 'K3 Eu1'
_cell_length_a 7.2011
_cell_length_b 7.2011
_cell_length_c 7.2011
_cell_angle_alpha 60.00
_cell_angle_beta 60.00
_cell_angle_gamma 60.00
_symmetry_space_group_name_H-M 'P 1'
_symmetry_Int_Tables_number 1
loop_
_symmetry_equiv_pos_as_xyz
'x,y,z'
loop_
_atom_site_label
_atom_site_type_symbol
_atom_site_fract_x
_atom_site_fract_y
_atom_site_fract_z
K1 K 0.0000 0.0000 0.0000
K2 K 0.2500 0.2500 0.2500
K3 K 0.7500 0.7500 0.7500
Eu1 Eu 0.5000 0.5000 0.5000
```

---

Record 2
Starting from a structure optimized by DFT (GGA-PBE), the powder diffractogram of TaVCo was computed for Cu Kα, 1.54184 Å.

Main lines, by angle (10 to 80 degrees two-theta):
d = 4.045 Å, intensity 23.0
d = 2.477 Å, intensity 37.4
d = 2.414 Å, intensity 74.6
d = 2.277 Å, intensity 99.3
d = 2.261 Å, intensity 52.5
d = 2.112 Å, intensity 52.5
d = 2.073 Å, intensity 100.0
d = 2.056 Å, intensity 45.3
d = 1.338 Å, intensity 21.8
d = 1.288 Å, intensity 26.0

```
data_TaVCo
_chemical_formula_sum 'Ta4 V4 Co4'
_cell_length_a 8.0902
_cell_length_b 4.8296
_cell_length_c 4.8296
_cell_angle_alpha 61.70
_cell_angle_beta 90.00
_cell_angle_gamma 90.00
_symmetry_space_group_name_H-M 'P 1'
_symmetry_Int_Tables_number 1
loop_
_symmetry_equiv_pos_as_xyz
'x,y,z'
loop_
_atom_site_label
_atom_site_type_symbol
_atom_site_fract_x
_atom_site_fract_y
_atom_site_fract_z
Ta1 Ta 0.1830 0.0000 0.0000
Ta2 Ta 0.3070 0.3331 0.3331
Ta3 Ta 0.6930 0.3331 0.3331
Ta4 Ta 0.8170 0.0000 0.0000
V1 V 0.0000 0.5039 0.5039
V2 V 0.5000 0.3309 0.8370
V3 V 0.5000 0.8370 0.3309
V4 V 0.5000 0.8416 0.8416
Co1 Co 0.0000 0.0130 0.5067
Co2 Co 0.0000 0.5067 0.0130
Co3 Co 0.2424 0.6701 0.6701
Co4 Co 0.7576 0.6701 0.6701
```

---

Record 3
Starting from a structure optimized by DFT (GGA-PBE), the powder diffractogram of GaHO2 was computed for Cu Kα, 1.54184 Å.

Main lines, by angle (10 to 80 degrees two-theta):
d = 3.296 Å, intensity 100.0
d = 2.573 Å, intensity 27.9
d = 2.494 Å, intensity 21.3
d = 2.479 Å, intensity 52.8
d = 2.220 Å, intensity 11.4
d = 1.758 Å, intensity 34.7
d = 1.670 Å, intensity 40.1
d = 1.648 Å, intensity 15.4
d = 1.455 Å, intensity 15.9
d = 1.367 Å, intensity 13.9

```
data_GaHO2
_chemical_formula_sum 'Ga2 H2 O4'
_cell_length_a 3.0040
_cell_length_b 4.3910
_cell_length_c 4.9885
_cell_angle_alpha 90.00
_cell_angle_beta 90.00
_cell_angle_gamma 90.00
_symmetry_space_group_name_H-M 'P 1'
_symmetry_Int_Tables_number 1
loop_
_symmetry_equiv_pos_as_xyz
'x,y,z'
loop_
_atom_site_label
_atom_site_type_symbol
_atom_site_fract_x
_atom_site_fract_y
_atom_site_fract_z
Ga1 Ga 0.0000 0.2220 0.0000
Ga2 Ga 0.5000 0.7780 0.5000
H1 H 0.0000 0.3088 0.5170
H2 H 0.5000 0.6912 0.0170
O1 O 0.0000 0.0089 0.3493
O2 O 0.0000 0.4976 0.6395
O3 O 0.5000 0.5024 0.1395
O4 O 0.5000 0.9911 0.8493
```

---

Record 4
Starting from a structure optimized by DFT (GGA-PBE), the powder diffractogram of Hf3GeMo8 was computed for Cu Kα, 1.54184 Å.

Main lines, by angle (10 to 80 degrees two-theta):
d = 2.679 Å, intensity 42.3
d = 2.439 Å, intensity 77.7
d = 2.320 Å, intensity 12.9
d = 2.274 Å, intensity 100.0
d = 2.240 Å, intensity 69.7
d = 2.151 Å, intensity 13.6
d = 1.496 Å, intensity 30.6
d = 1.455 Å, intensity 24.2
d = 1.382 Å, intensity 29.4
d = 1.339 Å, intensity 25.1

```
data_Hf3GeMo8
_chemical_formula_sum 'Hf3 Ge1 Mo8'
_cell_length_a 5.3571
_cell_length_b 5.3571
_cell_length_c 8.6040
_cell_angle_alpha 90.00
_cell_angle_beta 90.00
_cell_angle_gamma 120.00
_symmetry_space_group_name_H-M 'P 1'
_symmetry_Int_Tables_number 1
loop_
_symmetry_equiv_pos_as_xyz
'x,y,z'
loop_
_atom_site_label
_atom_site_type_symbol
_atom_site_fract_x
_atom_site_fract_y
_atom_site_fract_z
Hf1 Hf 0.0000 0.0000 0.0000
Hf2 Hf 0.0000 0.0000 0.3798
Hf3 Hf 0.6667 0.3333 0.8778
Ge1 Ge 0.6667 0.3333 0.5031
Mo1 Mo 0.1620 0.3241 0.6855
Mo2 Mo 0.1620 0.8380 0.6855
Mo3 Mo 0.3333 0.6667 0.4366
Mo4 Mo 0.3333 0.6667 0.9358
Mo5 Mo 0.5039 0.0078 0.1899
Mo6 Mo 0.5039 0.4961 0.1899
Mo7 Mo 0.6759 0.8380 0.6855
Mo8 Mo 0.9922 0.4961 0.1899
```

---

Record 5
Starting from a structure optimized by DFT (GGA-PBE), the powder diffractogram of Ho2Si5Rh3 was computed for Cu Kα, 1.54184 Å.

Main lines, by angle (10 to 80 degrees two-theta):
d = 3.773 Å, intensity 24.9
d = 3.600 Å, intensity 20.1
d = 2.897 Å, intensity 20.5
d = 2.873 Å, intensity 21.3
d = 2.570 Å, intensity 100.0
d = 2.502 Å, intensity 40.8
d = 2.486 Å, intensity 48.0
d = 2.040 Å, intensity 57.4
d = 1.785 Å, intensity 20.2
d = 1.594 Å, intensity 22.4

```
data_Ho2Si5Rh3
_chemical_formula_sum 'Ho4 Si10 Rh6'
_cell_length_a 8.1518
_cell_length_b 8.1518
_cell_length_c 8.1518
_cell_angle_alpha 105.00
_cell_angle_beta 89.40
_cell_angle_gamma 138.73
_symmetry_space_group_name_H-M 'P 1'
_symmetry_Int_Tables_number 1
loop_
_symmetry_equiv_pos_as_xyz
'x,y,z'
loop_
_atom_site_label
_atom_site_type_symbol
_atom_site_fract_x
_atom_site_fract_y
_atom_site_fract_z
Ho1 Ho 0.1313 0.2320 0.3633
Ho2 Ho 0.3687 0.7320 0.1007
Ho3 Ho 0.6313 0.2680 0.8993
Ho4 Ho 0.8687 0.7680 0.6367
Si1 Si 0.0268 0.7500 0.2768
Si2 Si 0.1064 0.6557 0.7621
Si3 Si 0.2500 0.2500 0.0000
Si4 Si 0.3936 0.1557 0.5494
Si5 Si 0.4732 0.7500 0.7232
Si6 Si 0.5268 0.2500 0.2768
Si7 Si 0.6064 0.8443 0.4506
Si8 Si 0.7500 0.7500 0.0000
Si9 Si 0.8936 0.3443 0.2379
Si10 Si 0.9732 0.2500 0.7232
Rh1 Rh 0.1394 0.8897 0.0292
Rh2 Rh 0.2500 0.7500 0.5000
Rh3 Rh 0.3606 0.3897 0.7503
Rh4 Rh 0.6394 0.6103 0.2497
Rh5 Rh 0.7500 0.2500 0.5000
Rh6 Rh 0.8606 0.1103 0.9708
```

---

Record 6
Starting from a structure optimized by DFT (GGA-PBE), the powder diffractogram of HfMg6Si was computed for Cu Kα, 1.54184 Å.

Main lines, by angle (10 to 80 degrees two-theta):
d = 5.561 Å, intensity 57.2
d = 5.183 Å, intensity 83.9
d = 5.101 Å, intensity 46.0
d = 3.759 Å, intensity 43.5
d = 3.636 Å, intensity 75.4
d = 2.669 Å, intensity 34.8
d = 2.592 Å, intensity 41.2
d = 2.550 Å, intensity 44.9
d = 2.441 Å, intensity 70.1
d = 2.310 Å, intensity 100.0

```
data_HfMg6Si
_chemical_formula_sum 'Hf1 Mg6 Si1'
_cell_length_a 5.1010
_cell_length_b 6.2849
_cell_length_c 6.2849
_cell_angle_alpha 55.56
_cell_angle_beta 90.00
_cell_angle_gamma 90.00
_symmetry_space_group_name_H-M 'P 1'
_symmetry_Int_Tables_number 1
loop_
_symmetry_equiv_pos_as_xyz
'x,y,z'
loop_
_atom_site_label
_atom_site_type_symbol
_atom_site_fract_x
_atom_site_fract_y
_atom_site_fract_z
Hf1 Hf 0.0000 0.0000 0.0000
Mg1 Mg 0.0000 0.4967 0.9976
Mg2 Mg 0.0000 0.9976 0.4967
Mg3 Mg 0.5000 0.1538 0.6565
Mg4 Mg 0.5000 0.1563 0.1563
Mg5 Mg 0.5000 0.6479 0.6479
Mg6 Mg 0.5000 0.6565 0.1538
Si1 Si 0.0000 0.4924 0.4924
```